(1)
Diffraction record for UCr2Si2. The PXRD pattern is calculated, not measured: it uses DFT lattice parameters and positions (GGA-PBE) and a wavelength of 1.5418 Å.

Structural model:
Lattice parameters (Å, degrees): 5.8036 5.8036 5.8036 140.47 140.47 57.15
Element x y z (fractional)
U: 0.0000 0.0000 0.0000
Cr: 0.2500 0.7500 0.5000
Cr: 0.7500 0.2500 0.5000
Si: 0.3838 0.3838 0.0000
Si: 0.6162 0.6162 0.0000

Most intense lines, 10 to 80 degrees two-theta, low angle first:
- 24.30 deg, I = 81
- 34.92 deg, I = 68
- 35.22 deg, I = 19
- 36.87 deg, I = 100
- 46.26 deg, I = 34
- 50.44 deg, I = 27
- 52.92 deg, I = 22
- 59.25 deg, I = 30
- 70.83 deg, I = 21
- 79.46 deg, I = 21

=====

(2)
Diffraction record for VCr2Si6. The PXRD pattern is calculated, not measured: it uses DFT lattice parameters and positions (GGA-PBE) and a wavelength of 1.5418 Å.

Structural model:
Lattice parameters (Å, degrees): 4.4683 4.4683 6.3443 90.00 90.00 119.78
Element x y z (fractional)
V: 0.0000 0.0000 0.0000
Cr: 0.0000 0.5000 0.6644
Cr: 0.5000 0.0000 0.3356
Si: 0.1708 0.3364 0.3341
Si: 0.3352 0.6648 0.0000
Si: 0.3364 0.1708 0.6659
Si: 0.6636 0.8292 0.6659
Si: 0.6648 0.3352 0.0000
Si: 0.8292 0.6636 0.3341

Most intense lines, 10 to 80 degrees two-theta, low angle first:
- 26.97 deg, I = 25
- 36.61 deg, I = 11
- 40.37 deg, I = 13
- 42.77 deg, I = 100
- 42.92 deg, I = 93
- 49.81 deg, I = 28
- 49.93 deg, I = 59
- 73.15 deg, I = 26
- 74.98 deg, I = 16
- 75.25 deg, I = 8

=====

(3)
Diffraction record for VCrSi. The PXRD pattern is calculated, not measured: it uses DFT lattice parameters and positions (GGA-PBE) and a wavelength of 1.5418 Å.

Structural model:
Lattice parameters (Å, degrees): 7.5196 4.8568 4.8568 58.36 90.00 90.00
Element x y z (fractional)
V: 0.1853 0.0000 0.0000
V: 0.3117 0.6677 0.6677
V: 0.6883 0.6677 0.6677
V: 0.8147 0.0000 0.0000
Cr: 0.0000 0.5050 0.9973
Cr: 0.0000 0.9973 0.5050
Cr: 0.2496 0.3308 0.3308
Cr: 0.7504 0.3308 0.3308
Si: 0.0000 0.5084 0.5084
Si: 0.5000 0.1624 0.1624
Si: 0.5000 0.1617 0.6751
Si: 0.5000 0.6751 0.1617

Most intense lines, 10 to 80 degrees two-theta, low angle first:
- 37.04 deg, I = 43
- 41.87 deg, I = 32
- 42.16 deg, I = 42
- 44.42 deg, I = 100
- 45.26 deg, I = 46
- 45.50 deg, I = 49
- 48.42 deg, I = 16
- 73.13 deg, I = 15
- 78.67 deg, I = 19
- 78.87 deg, I = 17

=====

(4)
Diffraction record for VCrSi4. The PXRD pattern is calculated, not measured: it uses DFT lattice parameters and positions (GGA-PBE) and a wavelength of 1.5418 Å.

Structural model:
Lattice parameters (Å, degrees): 4.4893 12.6826 4.4988 90.00 119.82 90.00
Element x y z (fractional)
V: 0.0000 0.0000 0.0000
V: 0.0000 0.4995 0.0000
V: 0.5000 0.6663 0.0000
Cr: 0.0000 0.3323 0.5000
Cr: 0.0000 0.8326 0.5000
Cr: 0.5000 0.1676 0.0000
Si: 0.1700 0.1668 0.3362
Si: 0.1740 0.6671 0.3382
Si: 0.3343 0.4988 0.6606
Si: 0.3347 0.8332 0.1724
Si: 0.3362 0.9998 0.6659
Si: 0.3376 0.3324 0.1701
Si: 0.6624 0.3324 0.8299
Si: 0.6638 0.9998 0.3341
Si: 0.6653 0.8332 0.8276
Si: 0.6657 0.4988 0.3394
Si: 0.8260 0.6671 0.6618
Si: 0.8300 0.1668 0.6638

Most intense lines, 10 to 80 degrees two-theta, low angle first:
- 26.86 deg, I = 26
- 36.54 deg, I = 12
- 40.05 deg, I = 16
- 42.59 deg, I = 51
- 42.69 deg, I = 100
- 42.78 deg, I = 56
- 49.67 deg, I = 62
- 49.77 deg, I = 32
- 72.99 deg, I = 20
- 73.07 deg, I = 9

=====

(5)
Diffraction record for V2Cr3Si3. The PXRD pattern is calculated, not measured: it uses DFT lattice parameters and positions (GGA-PBE) and a wavelength of 1.5418 Å.

Structural model:
Lattice parameters (Å, degrees): 6.9084 6.9084 6.9084 96.94 96.12 140.59
Element x y z (fractional)
V: 0.0779 0.2299 0.3078
V: 0.4221 0.7299 0.1520
V: 0.5779 0.2701 0.8480
V: 0.9221 0.7701 0.6922
Cr: 0.2244 0.9237 0.1481
Cr: 0.2500 0.7500 0.5000
Cr: 0.2756 0.4237 0.6994
Cr: 0.7244 0.5763 0.3006
Cr: 0.7500 0.2500 0.5000
Cr: 0.7756 0.0763 0.8519
Si: 0.1659 0.6640 0.8299
Si: 0.2500 0.2500 0.0000
Si: 0.3341 0.1640 0.4981
Si: 0.6659 0.8360 0.5019
Si: 0.7500 0.7500 0.0000
Si: 0.8341 0.3360 0.1701

Most intense lines, 10 to 80 degrees two-theta, low angle first:
- 28.97 deg, I = 17
- 38.65 deg, I = 40
- 40.31 deg, I = 100
- 43.55 deg, I = 76
- 43.92 deg, I = 54
- 44.14 deg, I = 53
- 44.92 deg, I = 81
- 45.20 deg, I = 79
- 48.04 deg, I = 80
- 74.31 deg, I = 28

=====

(6)
Diffraction record for CrSiW. The PXRD pattern is calculated, not measured: it uses DFT lattice parameters and positions (GGA-PBE) and a wavelength of 1.5418 Å.

Structural model:
Lattice parameters (Å, degrees): 7.6663 4.8756 4.8756 59.27 90.00 90.00
Element x y z (fractional)
Cr: 0.0000 0.2427 0.7573
Cr: 0.0000 0.7573 0.2427
Cr: 0.2481 0.5781 0.5781
Cr: 0.7519 0.5781 0.5781
Si: 0.0000 0.7548 0.7548
Si: 0.5000 0.4124 0.4124
Si: 0.5000 0.4119 0.9174
Si: 0.5000 0.9174 0.4119
W: 0.1898 0.2469 0.2469
W: 0.3218 0.9140 0.9140
W: 0.6782 0.9140 0.9140
W: 0.8102 0.2469 0.2469

Most intense lines, 10 to 80 degrees two-theta, low angle first:
- 21.20 deg, I = 35
- 23.20 deg, I = 36
- 24.20 deg, I = 38
- 36.87 deg, I = 100
- 37.30 deg, I = 42
- 41.25 deg, I = 57
- 41.38 deg, I = 100
- 44.02 deg, I = 85
- 44.38 deg, I = 68
- 44.84 deg, I = 37

=====

Q: Number 5 is which compound?
A: V2Cr3Si3